# 1
This entry pairs a crystal structure of Sr2NdH6Ru with its theoretical X-ray powder pattern. Radiation: copper Kα. Structure: DFT lattice parameters and positions (GGA-PBE).

Cell and atoms:
Lattice parameters (Å, degrees): 5.3699 5.3699 6.2115 90.00 90.00 120.00
Space group P-3m1 (No. 164)
Inequivalent atoms, fractional coordinates:
Sr: 0.3333 0.6667 0.3337 (multiplicity 2)
Nd: 0.0000 0.0000 0.0000 (multiplicity 1)
H: 0.1506 0.3012 0.6675 (multiplicity 6)
Ru: 0.0000 0.0000 0.5000 (multiplicity 1)

Most intense lines, 2θ = 15–90°, by intensity:
- 2.583 Å, 2θ 34.7, intensity 1000
- 2.685 Å, 2θ 33.4, intensity 977
- 3.723 Å, 2θ 23.9, intensity 617
- 4.650 Å, 2θ 19.1, intensity 595
- 1.530 Å, 2θ 60.5, intensity 398
- 1.861 Å, 2θ 48.9, intensity 387
- 1.550 Å, 2θ 59.6, intensity 181
- 1.473 Å, 2θ 63.1, intensity 175

=====

# 2
This entry pairs a crystal structure of Nd2HS3 with its theoretical X-ray powder pattern. Radiation: copper Kα. Structure: DFT lattice parameters and positions (GGA-PBE).

Cell and atoms:
Lattice parameters (Å, degrees): 11.110 4.009 10.686 90.00 90.00 90.00
Space group Pnma (No. 62)
Inequivalent atoms, fractional coordinates:
Nd: 0.025 0.250 0.183 (multiplicity 4)
Nd: 0.197 0.250 0.509 (multiplicity 4)
H: 0.133 0.750 0.140 (multiplicity 4)
S: 0.046 0.750 0.380 (multiplicity 4)
S: 0.127 0.250 0.936 (multiplicity 4)
S: 0.221 0.750 0.709 (multiplicity 4)

Most intense lines, 2θ = 15–90°, by intensity:
- 3.851 Å, 2θ 23.1, intensity 1000
- 2.589 Å, 2θ 34.6, intensity 716
- 2.099 Å, 2θ 43.1, intensity 649
- 3.081 Å, 2θ 29.0, intensity 557
- 3.392 Å, 2θ 26.3, intensity 526
- 3.499 Å, 2θ 25.5, intensity 481
- 2.636 Å, 2θ 34.0, intensity 462
- 3.754 Å, 2θ 23.7, intensity 429

=====

# 3
This entry pairs a crystal structure of NdSmHSe with its theoretical X-ray powder pattern. Radiation: copper Kα. Structure: DFT lattice parameters and positions (GGA-PBE).

Cell and atoms:
Lattice parameters (Å, degrees): 4.0025 4.0025 39.9438 90.00 90.00 120.00
Space group R-3m (No. 166, hexagonal axes)
Inequivalent atoms, fractional coordinates:
Nd: 0.0000 0.0000 0.1188 (multiplicity 6)
Sm: 0.0000 0.0000 0.2887 (multiplicity 6)
H: 0.0000 0.0000 0.2306 (multiplicity 6)
Se: 0.0000 0.0000 0.0000 (multiplicity 3)
Se: 0.0000 0.0000 0.5000 (multiplicity 3)

Most intense lines, 2θ = 15–90°, by intensity:
- 3.180 Å, 2θ 28.1, intensity 1000
- 2.963 Å, 2θ 30.2, intensity 588
- 2.001 Å, 2θ 45.3, intensity 566
- 2.618 Å, 2θ 34.3, intensity 539
- 2.847 Å, 2θ 31.4, intensity 298
- 1.945 Å, 2θ 46.7, intensity 269
- 1.280 Å, 2θ 74.1, intensity 222
- 3.329 Å, 2θ 26.8, intensity 211

=====

Repeat the first record exactly.
This entry pairs a crystal structure of Sr2NdH6Ru with its theoretical X-ray powder pattern. Radiation: copper Kα. Structure: DFT lattice parameters and positions (GGA-PBE).

Cell and atoms:
Lattice parameters (Å, degrees): 5.3699 5.3699 6.2115 90.00 90.00 120.00
Space group P-3m1 (No. 164)
Inequivalent atoms, fractional coordinates:
Sr: 0.3333 0.6667 0.3337 (multiplicity 2)
Nd: 0.0000 0.0000 0.0000 (multiplicity 1)
H: 0.1506 0.3012 0.6675 (multiplicity 6)
Ru: 0.0000 0.0000 0.5000 (multiplicity 1)

Most intense lines, 2θ = 15–90°, by intensity:
- 2.583 Å, 2θ 34.7, intensity 1000
- 2.685 Å, 2θ 33.4, intensity 977
- 3.723 Å, 2θ 23.9, intensity 617
- 4.650 Å, 2θ 19.1, intensity 595
- 1.530 Å, 2θ 60.5, intensity 398
- 1.861 Å, 2θ 48.9, intensity 387
- 1.550 Å, 2θ 59.6, intensity 181
- 1.473 Å, 2θ 63.1, intensity 175